Structure and calculated powder XRD pattern of Ba2ZrSi2 (a structure optimized by DFT (GGA-PBE); Cu Kα).

Structure:
```
Ba2ZrSi2
1.0
9.483 0.000 0.000
0.000 9.483 0.000
0.000 0.000 3.338
Ba Zr Si
4 2 4
Direct
0.126 0.374 0.000 Ba
0.374 0.874 0.000 Ba
0.626 0.126 0.000 Ba
0.874 0.626 0.000 Ba
0.000 0.000 0.000 Zr
0.500 0.500 0.000 Zr
0.173 0.673 0.500 Si
0.327 0.173 0.500 Si
0.673 0.827 0.500 Si
0.827 0.327 0.500 Si
```

Most intense lines, 2θ from 10° to 80°, in order of rising 2θ:
2θ (°)  I_rel
20.95  50
26.71  30
29.79  66
34.16  100
40.43  37
43.82  22
56.66  19
59.32  20
61.94  16
63.83  14

=====

Structure and calculated powder XRD pattern of Ba3SrSm2Te6 (a structure optimized by DFT (GGA-PBE); Cu Kα).

Structure:
```
Ba3SrSm2Te6
1.0
4.084 -7.073 0.000
4.084 7.073 0.000
-2.723 0.000 7.861
Ba Sr Sm Te
3 1 2 6
Direct
0.000 0.000 0.000 Ba
0.336 0.664 0.000 Ba
0.664 0.336 0.000 Ba
0.500 0.500 0.500 Sr
0.167 0.833 0.500 Sm
0.833 0.167 0.500 Sm
0.082 0.425 0.275 Te
0.231 0.231 0.722 Te
0.425 0.082 0.275 Te
0.575 0.918 0.725 Te
0.769 0.769 0.278 Te
0.918 0.575 0.725 Te
```

Most intense lines, 2θ from 10° to 80°, in order of rising 2θ:
2θ (°)  I_rel
26.55  100
37.63  37
38.17  39
46.19  6
47.10  21
54.68  12
61.42  15
62.16  18
68.63  12
68.99  7

=====

Structure and calculated powder XRD pattern of BaSn5 (a structure optimized by DFT (GGA-PBE); Cu Kα).

Structure:
```
BaSn5
1.0
5.451 0.000 0.000
-2.725 4.721 0.000
0.000 0.000 7.192
Ba Sn
1 5
Direct
0.000 0.000 0.000 Ba
0.000 0.000 0.500 Sn
0.333 0.667 0.294 Sn
0.333 0.667 0.706 Sn
0.667 0.333 0.294 Sn
0.667 0.333 0.706 Sn
```

Most intense lines, 2θ from 10° to 80°, in order of rising 2θ:
2θ (°)  I_rel
12.31  9
31.27  88
32.86  100
45.99  31
50.73  19
57.68  32
58.67  20
61.81  14
68.90  12
77.60  14

=====

Structure and calculated powder XRD pattern of Ba3Sn2 (a structure optimized by DFT (GGA-PBE); Cu Kα).

Structure:
```
Ba3Sn2
1.0
6.720 0.000 0.000
0.000 6.720 0.000
0.000 0.000 18.047
Ba Sn
12 8
Direct
0.085 0.342 0.387 Ba
0.158 0.585 0.137 Ba
0.173 0.173 0.000 Ba
0.327 0.673 0.750 Ba
0.342 0.085 0.613 Ba
0.415 0.842 0.363 Ba
0.585 0.158 0.863 Ba
0.658 0.915 0.113 Ba
0.673 0.327 0.250 Ba
0.827 0.827 0.500 Ba
0.842 0.415 0.637 Ba
0.915 0.658 0.887 Ba
0.088 0.171 0.798 Sn
0.171 0.088 0.202 Sn
0.329 0.588 0.548 Sn
0.412 0.671 0.952 Sn
0.588 0.329 0.452 Sn
0.671 0.412 0.048 Sn
0.829 0.912 0.702 Sn
0.912 0.829 0.298 Sn
```

Most intense lines, 2θ from 10° to 80°, in order of rising 2θ:
2θ (°)  I_rel
26.99  63
27.26  40
28.06  100
28.34  36
29.73  74
30.15  33
31.12  69
31.37  54
33.32  41
49.14  37